(1)
Calculated powder X-ray diffraction pattern of SrLi10Mg3 for a wavelength of 1.5418 Å, from DFT lattice parameters and positions (GGA-PBE).

Crystal structure
Unit cell a=10.107 b=10.107 c=10.107 alpha=60.00 beta=60.00 gamma=60.00
Fractional coordinates of all 28 atoms:
1 Sr 0.250 0.250 0.250
2 Sr 0.750 0.750 0.750
3 Li 0.000 0.000 0.357
4 Li 0.000 0.000 0.643
5 Li 0.000 0.357 0.000
6 Li 0.000 0.357 0.643
7 Li 0.000 0.643 0.000
8 Li 0.000 0.643 0.357
9 Li 0.155 0.615 0.615
10 Li 0.357 0.000 0.000
11 Li 0.357 0.000 0.643
12 Li 0.357 0.643 0.000
13 Li 0.385 0.385 0.385
14 Li 0.385 0.385 0.845
15 Li 0.385 0.845 0.385
16 Li 0.615 0.155 0.615
17 Li 0.615 0.615 0.155
18 Li 0.615 0.615 0.615
19 Li 0.643 0.000 0.000
20 Li 0.643 0.000 0.357
21 Li 0.643 0.357 0.000
22 Li 0.845 0.385 0.385
23 Mg 0.273 0.273 0.727
24 Mg 0.273 0.727 0.273
25 Mg 0.273 0.727 0.727
26 Mg 0.727 0.273 0.273
27 Mg 0.727 0.273 0.727
28 Mg 0.727 0.727 0.273

Most intense lines, 15 to 90 degrees two-theta, by angle:
2θ = 17.6°, I 31
2θ = 21.5°, I 100
2θ = 24.9°, I 50
2θ = 27.9°, I 39
2θ = 35.5°, I 54
2θ = 41.9°, I 59

(2)
Calculated powder X-ray diffraction pattern of SrLi4Mg4 for a wavelength of 1.5418 Å, from DFT lattice parameters and positions (GGA-PBE).

Crystal structure
Unit cell a=9.599 b=9.599 c=5.112 alpha=90.00 beta=90.00 gamma=90.00
Fractional coordinates of all 18 atoms:
1 Sr 0.250 0.250 0.250
2 Sr 0.750 0.750 0.750
3 Li 0.013 0.105 0.745
4 Li 0.105 0.487 0.755
5 Li 0.395 0.013 0.755
6 Li 0.487 0.395 0.745
7 Li 0.513 0.605 0.255
8 Li 0.605 0.987 0.245
9 Li 0.895 0.513 0.245
10 Li 0.987 0.895 0.255
11 Mg 0.119 0.823 0.758
12 Mg 0.177 0.619 0.258
13 Mg 0.323 0.881 0.258
14 Mg 0.381 0.677 0.758
15 Mg 0.619 0.323 0.242
16 Mg 0.677 0.119 0.742
17 Mg 0.823 0.381 0.742
18 Mg 0.881 0.177 0.242

Most intense lines, 15 to 90 degrees two-theta, by angle:
2θ = 18.5°, I 72
2θ = 19.7°, I 100
2θ = 27.1°, I 74
2θ = 29.4°, I 64
2θ = 33.0°, I 73
2θ = 38.1°, I 77

(3)
Calculated powder X-ray diffraction pattern of SrLi2MgTl2 for a wavelength of 1.5418 Å, from DFT lattice parameters and positions (GGA-PBE).

Crystal structure
Unit cell a=4.855 b=4.855 c=7.542 alpha=90.00 beta=90.00 gamma=120.00
Fractional coordinates of all 6 atoms:
1 Sr 0.000 0.000 0.000
2 Li 0.333 0.667 0.668
3 Li 0.667 0.333 0.332
4 Mg 0.000 0.000 0.500
5 Tl 0.333 0.667 0.282
6 Tl 0.667 0.333 0.718

Most intense lines, 15 to 90 degrees two-theta, by angle:
2θ = 24.2°, I 100
2θ = 31.9°, I 45
2θ = 37.0°, I 39
2θ = 41.9°, I 17
2θ = 44.8°, I 20
2θ = 59.4°, I 18

(4)
Calculated powder X-ray diffraction pattern of Li2TbMg10 for a wavelength of 1.5418 Å, from DFT lattice parameters and positions (GGA-PBE).

Crystal structure
Unit cell a=10.281 b=7.798 c=7.793 alpha=82.51 beta=48.77 gamma=48.72
Fractional coordinates of all 13 atoms:
1 Li 0.000 0.500 0.000
2 Li 0.500 0.000 0.500
3 Tb 0.000 0.000 0.000
4 Mg 0.000 0.000 0.500
5 Mg 0.007 0.350 0.650
6 Mg 0.288 0.494 0.506
7 Mg 0.350 0.007 0.993
8 Mg 0.494 0.288 0.712
9 Mg 0.500 0.500 0.000
10 Mg 0.506 0.712 0.288
11 Mg 0.650 0.993 0.007
12 Mg 0.712 0.506 0.494
13 Mg 0.993 0.650 0.350

Most intense lines, 15 to 90 degrees two-theta, by angle:
2θ = 17.3°, I 37
2θ = 18.0°, I 46
2θ = 25.0°, I 70
2θ = 30.5°, I 58
2θ = 35.3°, I 100
2θ = 36.4°, I 43

(5)
Calculated powder X-ray diffraction pattern of Li3TbMg3 for a wavelength of 1.5418 Å, from DFT lattice parameters and positions (GGA-PBE).

Crystal structure
Unit cell a=7.033 b=7.033 c=7.033 alpha=90.00 beta=90.00 gamma=90.00
Fractional coordinates of all 14 atoms:
1 Li 0.000 0.250 0.500
2 Li 0.000 0.750 0.500
3 Li 0.250 0.500 0.000
4 Li 0.500 0.000 0.250
5 Li 0.500 0.000 0.750
6 Li 0.750 0.500 0.000
7 Tb 0.000 0.000 0.000
8 Tb 0.500 0.500 0.500
9 Mg 0.000 0.500 0.250
10 Mg 0.000 0.500 0.750
11 Mg 0.250 0.000 0.500
12 Mg 0.500 0.250 0.000
13 Mg 0.500 0.750 0.000
14 Mg 0.750 0.000 0.500

Most intense lines, 15 to 90 degrees two-theta, by angle:
2θ = 17.8°, I 85
2θ = 25.3°, I 43
2θ = 31.2°, I 100
2θ = 40.6°, I 22
2θ = 48.4°, I 58
2θ = 85.0°, I 17

(6)
Calculated powder X-ray diffraction pattern of Li4TbMg15 for a wavelength of 1.5418 Å, from DFT lattice parameters and positions (GGA-PBE).

Crystal structure
Unit cell a=4.509 b=4.509 c=22.336 alpha=90.00 beta=90.00 gamma=90.00
Fractional coordinates of all 20 atoms:
1 Li 0.000 0.000 0.096
2 Li 0.000 0.000 0.296
3 Li 0.000 0.000 0.704
4 Li 0.000 0.000 0.904
5 Tb 0.000 0.000 0.500
6 Mg 0.000 0.500 0.000
7 Mg 0.000 0.500 0.195
8 Mg 0.000 0.500 0.392
9 Mg 0.000 0.500 0.608
10 Mg 0.000 0.500 0.805
11 Mg 0.500 0.000 0.000
12 Mg 0.500 0.000 0.195
13 Mg 0.500 0.000 0.392
14 Mg 0.500 0.000 0.608
15 Mg 0.500 0.000 0.805
16 Mg 0.500 0.500 0.098
17 Mg 0.500 0.500 0.291
18 Mg 0.500 0.500 0.500
19 Mg 0.500 0.500 0.709
20 Mg 0.500 0.500 0.902

Most intense lines, 15 to 90 degrees two-theta, by angle:
2θ = 20.1°, I 30
2θ = 21.3°, I 26
2θ = 34.6°, I 100
2θ = 40.0°, I 38
2θ = 58.1°, I 20
2θ = 69.2°, I 26

(7)
Calculated powder X-ray diffraction pattern of Li8TbMg3 for a wavelength of 1.5418 Å, from DFT lattice parameters and positions (GGA-PBE).

Crystal structure
Unit cell a=5.617 b=5.617 c=9.112 alpha=90.00 beta=90.00 gamma=120.00
Fractional coordinates of all 12 atoms:
1 Li 0.000 0.000 0.000
2 Li 0.000 0.000 0.491
3 Li 0.173 0.345 0.258
4 Li 0.173 0.827 0.258
5 Li 0.339 0.170 0.743
6 Li 0.655 0.827 0.258
7 Li 0.830 0.170 0.743
8 Li 0.830 0.661 0.743
9 Tb 0.667 0.333 0.063
10 Mg 0.333 0.667 0.567
11 Mg 0.333 0.667 0.933
12 Mg 0.667 0.333 0.439

Most intense lines, 15 to 90 degrees two-theta, by angle:
2θ = 18.2°, I 78
2θ = 20.7°, I 100
2θ = 26.8°, I 57
2θ = 31.9°, I 47
2θ = 34.8°, I 61
2θ = 37.6°, I 47

(8)
Calculated powder X-ray diffraction pattern of LiTbMg for a wavelength of 1.5418 Å, from DFT lattice parameters and positions (GGA-PBE).

Crystal structure
Unit cell a=3.471 b=3.513 c=12.272 alpha=89.88 beta=89.98 gamma=89.99
Fractional coordinates of all 6 atoms:
1 Li 0.000 0.000 0.000
2 Li 0.499 0.499 0.866
3 Tb 0.001 0.000 0.331
4 Tb 0.501 0.500 0.536
5 Mg 0.001 0.001 0.726
6 Mg 0.503 0.499 0.141

Most intense lines, 15 to 90 degrees two-theta, by angle:
2θ = 29.3°, I 100
2θ = 29.6°, I 98
2θ = 33.6°, I 78
2θ = 33.9°, I 76
2θ = 36.4°, I 77
2θ = 37.1°, I 54